# 1
Structure and calculated powder diffractogram of SrPSe (a structure optimized by DFT (GGA-PBE); Cu Ka).
No peak broadening, texture or thermal motion is included.

Main lines, low angle first (2θ from 10° to 90°):
hkl 4 0 0, 18.83°, intensity 28.3
hkl 2 0 1, 24.25°, intensity 18.9
hkl 4 0 -1, 24.72°, intensity 41.2
hkl 6 0 0, 28.41°, intensity 33.9
hkl 1 1 1, 32.12°, intensity 87.2
hkl 3 1 -1, 32.36°, intensity 100.0
hkl 5 1 0, 33.34°, intensity 60.3
hkl 3 1 1, 36.11°, intensity 30.7
hkl 2 0 -2, 40.47°, intensity 31.8
hkl 0 2 0, 47.47°, intensity 29.7

Atomic structure:
```
data_SrPSe
_chemical_formula_sum 'Sr4 P4 Se4'
_cell_length_a 19.2885
_cell_length_b 3.8306
_cell_length_c 4.4586
_cell_angle_alpha 90.00
_cell_angle_beta 102.22
_cell_angle_gamma 90.00
_symmetry_space_group_name_H-M 'C 1 m 1'
_symmetry_Int_Tables_number 8
loop_
_symmetry_equiv_pos_as_xyz
'x,y,z'
'x,-y,z'
'x+1/2,y+1/2,z'
'x+1/2,-y+1/2,z'
loop_
_atom_site_label
_atom_site_fract_x
_atom_site_fract_y
_atom_site_fract_z
Sr1 0.0000 0.0000 0.0000
Sr2 0.1976 0.0000 0.6369
P1 0.3623 0.5000 0.3962
P2 0.3674 0.0000 0.7162
Se1 0.0656 0.5000 0.5566
Se2 0.2416 0.5000 0.1753
```

# 2
Structure and calculated powder diffractogram of Ti5VPt2Rh2 (a structure optimized by DFT (GGA-PBE); Cu Ka).
No peak broadening, texture or thermal motion is included.

Main lines, low angle first (2θ from 10° to 90°):
hkl 1 1 0, 11.72°, intensity 32.2
hkl 2 1 0, 18.59°, intensity 18.0
hkl 3 1 0, 26.40°, intensity 29.2
hkl 4 0 0, 33.58°, intensity 47.3
hkl 4 2 0, 37.68°, intensity 17.5
hkl 3 1 1, 40.99°, intensity 100.0
hkl 3 3 1, 47.83°, intensity 38.1
hkl 4 4 0, 48.22°, intensity 22.2
hkl 6 0 0, 51.35°, intensity 20.3
hkl 7 3 1, 75.28°, intensity 34.3

Atomic structure:
```
data_Ti5VPt2Rh2
_chemical_formula_sum 'Ti10 V2 Pt4 Rh4'
_cell_length_a 10.6750
_cell_length_b 10.6750
_cell_length_c 2.9045
_cell_angle_alpha 90.00
_cell_angle_beta 90.00
_cell_angle_gamma 90.00
_symmetry_space_group_name_H-M 'P 4/m b m'
_symmetry_Int_Tables_number 127
_symmetry_space_group_name_Hall '-P 4 2ab'
loop_
_atom_site_label
_atom_site_fract_x
_atom_site_fract_y
_atom_site_fract_z
Ti1 0.0000 0.5000 0.0000
Ti2 0.1359 0.1543 0.0000
V1 0.0000 0.0000 0.5000
Pt1 0.1514 0.6514 0.5000
Rh1 0.1430 0.3570 0.5000
```

# 3
Structure and calculated powder diffractogram of Tb11Hg9Pd4 (a structure optimized by DFT (GGA-PBE); Cu Ka).
No peak broadening, texture or thermal motion is included.

Main lines, low angle first (2θ from 10° to 90°):
hkl 3 1 1, 30.82°, intensity 8.4
hkl 2 4 1, 31.82°, intensity 8.6
hkl 1 5 1, 32.41°, intensity 11.1
hkl 3 3 1, 32.97°, intensity 10.3
hkl 4 0 1, 34.68°, intensity 100.0
hkl 4 6 0, 34.81°, intensity 48.8
hkl 1 9 0, 37.45°, intensity 9.0
hkl 0 0 2, 49.68°, intensity 14.8
hkl 4 6 2, 62.08°, intensity 18.5
hkl 4 0 3, 83.31°, intensity 8.4

Atomic structure:
```
data_Tb11Hg9Pd4
_chemical_formula_sum 'Tb22 Hg18 Pd8'
_cell_length_a 14.5521
_cell_length_b 21.9120
_cell_length_c 3.6706
_cell_angle_alpha 90.00
_cell_angle_beta 90.00
_cell_angle_gamma 90.00
_symmetry_space_group_name_H-M 'C m m m'
_symmetry_Int_Tables_number 65
_symmetry_space_group_name_Hall '-C 2 2'
loop_
_atom_site_label
_atom_site_fract_x
_atom_site_fract_y
_atom_site_fract_z
Tb1 0.0000 0.0000 0.0000
Tb2 0.0000 0.1670 0.0000
Tb3 0.0000 0.3703 0.0000
Tb4 0.2006 0.5000 0.0000
Tb5 0.2433 0.1701 0.0000
Hg1 0.0000 0.5000 0.5000
Hg2 0.1078 0.2617 0.5000
Hg3 0.1397 0.0743 0.5000
Pd1 0.1503 0.4007 0.5000
```